Structure and calculated powder diffractogram of Li3Ca (the GGA-PBE geometry in the Materials Project; Cu Ka).

The 6 most intense peaks (2θ from 15° to 90°), sorted by position:
2theta, I (rel.)
18.0, 38
21.3, 100
27.5, 26
33.0, 75
33.5, 30
45.1, 24

Structural model:
a = 5.912 Å, b = 5.912 Å, c = 5.912 Å
α = 134.27°, β = 134.27°, γ = 66.67°
Element x y z (fractional)
Li: 0.000 0.000 0.000
Li: 0.250 0.750 0.500
Li: 0.750 0.250 0.500
Ca: 0.500 0.500 0.000